(1)
For Pa6GaTc8, a PBE-relaxed structure gives the computed X-ray powder pattern in this record (CuKα).
Intensities are scaled so that the largest is 1000.

Largest 10 diffraction maxima, low angle first, 10° ≤ 2θ ≤ 80°:
- 2θ = 19.4°, intensity 203, hkl 2 0 0
- 2θ = 25.8°, intensity 1000, hkl 2 1 0
- 2θ = 32.8°, intensity 191, hkl 2 0 1
- 2θ = 37.1°, intensity 921, hkl 1 2 1
- 2θ = 39.7°, intensity 205, hkl 0 3 1
- 2θ = 44.6°, intensity 291, hkl 3 1 1
- 2θ = 45.5°, intensity 426, hkl 1 4 0
- 2θ = 51.2°, intensity 218, hkl 5 -3 1
- 2θ = 53.0°, intensity 192, hkl 4 2 0
- 2θ = 60.7°, intensity 177, hkl 3 -2 2

Structure:
abc: 10.5553 10.5553 3.4030
angles: 90.00 90.00 120.00
Space group P-3 (No. 147)
Unique sites:
Pa1 0.1462 0.7069 0.2628 [6 per cell]
Ga1 0.0000 0.0000 0.5000 [1 per cell]
Tc1 0.0326 0.7879 0.7585 [6 per cell]
Tc2 0.3333 0.6667 0.7681 [2 per cell]

(2)
For Pa4Ga12Tc, a PBE-relaxed structure gives the computed X-ray powder pattern in this record (CuKα).
Intensities are scaled so that the largest is 1000.

Largest 10 diffraction maxima, low angle first, 10° ≤ 2θ ≤ 80°:
- 2θ = 20.6°, intensity 261, hkl 2 0 0
- 2θ = 29.3°, intensity 557, hkl 2 2 0
- 2θ = 36.0°, intensity 1000, hkl 2 2 2
- 2θ = 41.9°, intensity 616, hkl 4 0 0
- 2θ = 47.1°, intensity 182, hkl 4 2 0
- 2θ = 51.9°, intensity 191, hkl 4 2 2
- 2θ = 60.7°, intensity 374, hkl 4 4 0
- 2θ = 68.8°, intensity 146, hkl 6 2 0
- 2θ = 72.6°, intensity 326, hkl 6 2 2
- 2θ = 76.4°, intensity 115, hkl 4 4 4

Structure:
abc: 8.6342 8.6342 8.6342
angles: 90.00 90.00 90.00
Space group Im-3m (No. 229)
Unique sites:
Pa1 0.2500 0.2500 0.2500 [8 per cell]
Ga1 0.0000 0.0000 0.2945 [12 per cell]
Ga2 0.0000 0.2500 0.5000 [12 per cell]
Tc1 0.0000 0.0000 0.0000 [2 per cell]

(3)
For Pa4Ga5Tc2, a PBE-relaxed structure gives the computed X-ray powder pattern in this record (CuKα).
Intensities are scaled so that the largest is 1000.

Largest 10 diffraction maxima, low angle first, 10° ≤ 2θ ≤ 80°:
- 2θ = 12.3°, intensity 424, hkl 1 0 0
- 2θ = 35.0°, intensity 725, hkl 1 1 -2
- 2θ = 35.9°, intensity 834, hkl 1 1 2
- 2θ = 37.1°, intensity 589, hkl 2 1 0
- 2θ = 38.1°, intensity 433, hkl 3 0 -1
- 2θ = 38.8°, intensity 1000, hkl 2 0 3
- 2θ = 38.9°, intensity 599, hkl 1 0 -4
- 2θ = 39.4°, intensity 496, hkl 0 1 3
- 2θ = 41.0°, intensity 687, hkl 2 1 -2
- 2θ = 70.4°, intensity 414, hkl 1 2 -4

Structure:
abc: 7.2132 3.2743 9.6078
angles: 90.00 93.54 90.00
Space group P2/m (No. 10)
Unique sites:
Pa1 0.1556 0.0000 0.3787 [2 per cell]
Pa2 0.2501 0.0000 0.9511 [2 per cell]
Ga1 0.2069 0.5000 0.6657 [2 per cell]
Ga2 0.4475 0.5000 0.2031 [2 per cell]
Ga3 0.5000 0.5000 0.5000 [1 per cell]
Tc1 0.0743 0.5000 0.1501 [2 per cell]

(4)
For Pa3Ga2Tc5, a PBE-relaxed structure gives the computed X-ray powder pattern in this record (CuKα).
Intensities are scaled so that the largest is 1000.

Largest 10 diffraction maxima, low angle first, 10° ≤ 2θ ≤ 80°:
- 2θ = 22.6°, intensity 205, hkl 1 2 1
- 2θ = 24.9°, intensity 203, hkl 3 1 0
- 2θ = 31.9°, intensity 271, hkl 4 0 0
- 2θ = 32.1°, intensity 697, hkl 3 2 1
- 2θ = 32.3°, intensity 218, hkl 1 1 2
- 2θ = 34.1°, intensity 846, hkl 2 4 0
- 2θ = 34.3°, intensity 1000, hkl 2 0 2
- 2θ = 36.2°, intensity 308, hkl 4 1 1
- 2θ = 43.1°, intensity 833, hkl 0 4 2
- 2θ = 54.6°, intensity 188, hkl 4 4 2

Structure:
abc: 11.2252 11.9184 5.9024
angles: 90.00 90.00 90.00
Space group Ibam (No. 72)
Unique sites:
Pa1 0.0000 0.0000 0.2500 [4 per cell]
Pa2 0.2190 0.3777 0.0000 [8 per cell]
Ga1 0.1797 0.1288 0.0000 [8 per cell]
Tc1 0.0000 0.2109 0.2500 [8 per cell]
Tc2 0.0000 0.5000 0.2500 [4 per cell]
Tc3 0.1009 0.3610 0.5000 [8 per cell]

(5)
For ThPa2Ga9, a PBE-relaxed structure gives the computed X-ray powder pattern in this record (CuKα).
Intensities are scaled so that the largest is 1000.

Largest 10 diffraction maxima, low angle first, 10° ≤ 2θ ≤ 80°:
- 2θ = 20.5°, intensity 342, hkl 0 0 3
- 2θ = 29.1°, intensity 295, hkl 1 1 0
- 2θ = 35.8°, intensity 1000, hkl 1 1 3
- 2θ = 41.6°, intensity 495, hkl 2 0 0
- 2θ = 46.8°, intensity 170, hkl 2 0 3
- 2θ = 51.6°, intensity 130, hkl 1 1 6
- 2θ = 60.3°, intensity 328, hkl 2 2 0
- 2θ = 64.4°, intensity 86, hkl 0 0 9
- 2θ = 72.2°, intensity 381, hkl 3 1 3
- 2θ = 75.9°, intensity 110, hkl 2 2 6

Structure:
abc: 4.3423 4.3423 13.0172
angles: 90.00 90.00 90.00
Space group P4/mmm (No. 123)
Unique sites:
Th1 0.0000 0.0000 0.0000 [1 per cell]
Pa1 0.0000 0.0000 0.3367 [2 per cell]
Ga1 0.0000 0.5000 0.1737 [4 per cell]
Ga2 0.0000 0.5000 0.5000 [2 per cell]
Ga3 0.5000 0.5000 0.0000 [1 per cell]
Ga4 0.5000 0.5000 0.3376 [2 per cell]

(6)
For ThPaGa4, a PBE-relaxed structure gives the computed X-ray powder pattern in this record (CuKα).
Intensities are scaled so that the largest is 1000.

Largest 10 diffraction maxima, low angle first, 10° ≤ 2θ ≤ 80°:
- 2θ = 22.0°, intensity 132, hkl 1 0 1
- 2θ = 28.0°, intensity 412, hkl 1 0 3
- 2θ = 32.5°, intensity 1000, hkl 1 1 2
- 2θ = 37.3°, intensity 479, hkl 1 0 5
- 2θ = 43.0°, intensity 362, hkl 2 0 0
- 2θ = 48.5°, intensity 230, hkl 1 0 7
- 2θ = 52.0°, intensity 154, hkl 2 1 3
- 2θ = 58.2°, intensity 266, hkl 2 1 5
- 2θ = 66.8°, intensity 176, hkl 2 1 7
- 2θ = 72.1°, intensity 205, hkl 3 1 2

Structure:
abc: 4.2094 4.2094 14.6889
angles: 90.00 90.00 90.00
Space group I-4m2 (No. 119)
Unique sites:
Th1 0.0000 0.0000 0.0000 [2 per cell]
Pa1 0.0000 0.5000 0.7500 [2 per cell]
Ga1 0.0000 0.0000 0.4153 [4 per cell]
Ga2 0.0000 0.5000 0.1682 [4 per cell]

(7)
For Pa2TiGa3, a PBE-relaxed structure gives the computed X-ray powder pattern in this record (CuKα).
Intensities are scaled so that the largest is 1000.

Largest 10 diffraction maxima, low angle first, 10° ≤ 2θ ≤ 80°:
- 2θ = 19.3°, intensity 164, hkl 0 0 1
- 2θ = 20.0°, intensity 279, hkl 2 0 -1
- 2θ = 32.3°, intensity 647, hkl 2 0 -2
- 2θ = 33.2°, intensity 529, hkl 0 2 0
- 2θ = 37.9°, intensity 170, hkl 1 1 -2
- 2θ = 38.7°, intensity 1000, hkl 3 1 0
- 2θ = 39.1°, intensity 410, hkl 2 2 -1
- 2θ = 58.7°, intensity 247, hkl 5 1 -3
- 2θ = 61.5°, intensity 192, hkl 4 0 1
- 2θ = 63.0°, intensity 161, hkl 3 3 0

Structure:
abc: 9.3698 5.3957 5.5564
angles: 90.00 124.17 90.00
Space group C2/m (No. 12)
Unique sites:
Pa1 0.1385 0.0000 0.4138 [4 per cell]
Ti1 0.0000 0.5000 0.5000 [2 per cell]
Ga1 0.0000 0.5000 0.0000 [2 per cell]
Ga2 0.2500 0.2500 0.0000 [4 per cell]

(8)
For PaTi3Ga, a PBE-relaxed structure gives the computed X-ray powder pattern in this record (CuKα).
Intensities are scaled so that the largest is 1000.

Largest 10 diffraction maxima, low angle first, 10° ≤ 2θ ≤ 80°:
- 2θ = 18.4°, intensity 293, hkl 1 0 1
- 2θ = 19.8°, intensity 254, hkl 0 0 4
- 2θ = 23.1°, intensity 1000, hkl 1 0 3
- 2θ = 25.1°, intensity 288, hkl 1 1 0
- 2θ = 32.2°, intensity 519, hkl 1 1 4
- 2θ = 35.8°, intensity 438, hkl 2 0 0
- 2θ = 39.4°, intensity 466, hkl 1 1 6
- 2θ = 43.1°, intensity 759, hkl 2 1 3
- 2θ = 54.3°, intensity 221, hkl 2 1 7
- 2θ = 69.4°, intensity 186, hkl 3 2 3

Structure:
abc: 5.0127 5.0127 17.9699
angles: 90.00 90.00 90.00
Space group I-4m2 (No. 119)
Unique sites:
Pa1 0.0000 0.0000 0.1470 [4 per cell]
Ti1 0.0000 0.2456 0.6245 [8 per cell]
Ti2 0.0000 0.5000 0.0275 [4 per cell]
Ga1 0.0000 0.0000 0.5000 [2 per cell]
Ga2 0.0000 0.5000 0.7500 [2 per cell]

(9)
For PaTlGa, a PBE-relaxed structure gives the computed X-ray powder pattern in this record (CuKα).
Intensities are scaled so that the largest is 1000.

Largest 10 diffraction maxima, low angle first, 10° ≤ 2θ ≤ 80°:
- 2θ = 18.9°, intensity 134, hkl 1 1 0
- 2θ = 25.7°, intensity 108, hkl 0 2 1
- 2θ = 34.5°, intensity 1000, hkl 1 3 1
- 2θ = 36.1°, intensity 245, hkl 2 0 0
- 2θ = 38.0°, intensity 143, hkl 0 6 0
- 2θ = 45.7°, intensity 127, hkl 0 0 2
- 2θ = 53.4°, intensity 109, hkl 2 6 0
- 2θ = 59.5°, intensity 117, hkl 2 0 2
- 2θ = 63.9°, intensity 173, hkl 3 3 1
- 2θ = 77.2°, intensity 101, hkl 1 3 3

Structure:
abc: 4.9816 14.1914 3.9742
angles: 90.00 90.00 90.00
Space group Cmcm (No. 63)
Unique sites:
Pa1 0.0000 0.0671 0.2500 [4 per cell]
Tl1 0.0000 0.2654 0.7500 [4 per cell]
Ga1 0.0000 0.4343 0.2500 [4 per cell]

(10)
For TmPaGa6, a PBE-relaxed structure gives the computed X-ray powder pattern in this record (CuKα).
Intensities are scaled so that the largest is 1000.

Largest 10 diffraction maxima, low angle first, 10° ≤ 2θ ≤ 80°:
- 2θ = 25.6°, intensity 353, hkl 1 0 1
- 2θ = 28.6°, intensity 151, hkl 1 1 0
- 2θ = 33.2°, intensity 256, hkl 2 0 0
- 2θ = 38.7°, intensity 1000, hkl 2 0 1
- 2θ = 39.5°, intensity 220, hkl 0 0 2
- 2θ = 52.5°, intensity 139, hkl 2 0 2
- 2θ = 59.2°, intensity 173, hkl 2 2 0
- 2θ = 71.2°, intensity 165, hkl 2 0 3
- 2θ = 73.0°, intensity 130, hkl 4 0 1
- 2θ = 73.6°, intensity 180, hkl 2 2 2

Structure:
abc: 6.2407 6.2407 4.5597
angles: 90.00 90.00 120.00
Space group P-6m2 (No. 187)
Unique sites:
Tm1 0.0000 0.0000 0.0000 [1 per cell]
Pa1 0.6667 0.3333 0.5000 [1 per cell]
Ga1 0.0379 0.5190 0.0000 [3 per cell]
Ga2 0.1820 0.3639 0.5000 [3 per cell]

(11)
For U4PaGa15, a PBE-relaxed structure gives the computed X-ray powder pattern in this record (CuKα).
Intensities are scaled so that the largest is 1000.

Largest 10 diffraction maxima, low angle first, 10° ≤ 2θ ≤ 80°:
- 2θ = 20.8°, intensity 345, hkl 1 0 0
- 2θ = 29.6°, intensity 299, hkl 1 1 0
- 2θ = 36.4°, intensity 1000, hkl 1 1 5
- 2θ = 42.2°, intensity 166, hkl 0 0 10
- 2θ = 42.3°, intensity 329, hkl 2 0 0
- 2θ = 47.5°, intensity 115, hkl 2 0 5
- 2θ = 52.4°, intensity 131, hkl 1 1 10
- 2θ = 61.3°, intensity 219, hkl 2 0 10
- 2θ = 73.3°, intensity 130, hkl 1 1 15
- 2θ = 73.5°, intensity 258, hkl 3 1 5

Structure:
abc: 4.2705 4.2705 21.4191
angles: 90.00 90.00 90.00
Space group P4/mmm (No. 123)
Unique sites:
U1 0.0000 0.0000 0.0997 [2 per cell]
U2 0.0000 0.0000 0.2992 [2 per cell]
Pa1 0.0000 0.0000 0.5000 [1 per cell]
Ga1 0.0000 0.5000 0.0000 [2 per cell]
Ga2 0.0000 0.5000 0.1994 [4 per cell]
Ga3 0.0000 0.5000 0.3986 [4 per cell]
Ga4 0.5000 0.5000 0.0997 [2 per cell]
Ga5 0.5000 0.5000 0.2995 [2 per cell]
Ga6 0.5000 0.5000 0.5000 [1 per cell]

(12)
For YPa2Ga6, a PBE-relaxed structure gives the computed X-ray powder pattern in this record (CuKα).
Intensities are scaled so that the largest is 1000.

Largest 10 diffraction maxima, low angle first, 10° ≤ 2θ ≤ 80°:
- 2θ = 13.1°, intensity 139, hkl 1 0 0
- 2θ = 22.8°, intensity 249, hkl 1 1 0
- 2θ = 28.9°, intensity 50, hkl 1 0 1
- 2θ = 34.6°, intensity 1000, hkl 1 1 1
- 2θ = 40.1°, intensity 554, hkl 3 0 0
- 2θ = 52.7°, intensity 84, hkl 0 0 2
- 2θ = 54.0°, intensity 282, hkl 2 2 1
- 2θ = 68.2°, intensity 229, hkl 3 0 2
- 2θ = 69.4°, intensity 266, hkl 4 1 1
- 2θ = 72.9°, intensity 94, hkl 3 3 0

Structure:
abc: 7.7853 7.7853 3.4742
angles: 90.00 90.00 120.00
Space group P6/mmm (No. 191)
Unique sites:
Y1 0.0000 0.0000 0.0000 [1 per cell]
Pa1 0.3333 0.6667 0.0000 [2 per cell]
Ga1 0.0000 0.3323 0.5000 [6 per cell]